1.
Pr6Tl3Ir: computed X-ray powder pattern (λ = 1.5418 Å (Cu Kα)), based on a crystal structure in Alexandria, relaxed with PBE.
Kinematic intensities with the Lorentz-polarization factor, no thermal factor.

Largest 8 diffraction maxima, in order of rising 2θ, 2θ from 10° to 90°:
| 2θ (°) | I (rel.) |
| --- | --- |
| 24.24 | 48 |
| 30.60 | 76 |
| 31.76 | 100 |
| 32.27 | 57 |
| 33.06 | 48 |
| 34.90 | 38 |
| 35.56 | 72 |
| 42.39 | 28 |

Structural model:
```
Pr6Tl3Ir
1.0
6.5254 -5.9858 0.0000
6.5254 5.9858 0.0000
0.0000 0.0000 8.3523
Pr Tl Ir
12 6 2
direct
0.0629 0.2222 0.6125
0.1622 0.8378 0.5000
0.2222 0.0629 0.1125
0.2417 0.4553 0.2886
0.2999 0.7001 0.9060
0.4553 0.2417 0.7886
0.5447 0.7583 0.2886
0.7001 0.2999 0.4060
0.7583 0.5447 0.7886
0.7778 0.9371 0.6125
0.8378 0.1622 0.0000
0.9371 0.7778 0.1125
0.0903 0.4179 0.9438
0.4179 0.0903 0.4438
0.4471 0.5529 0.5833
0.5529 0.4471 0.0833
0.5821 0.9097 0.9438
0.9097 0.5821 0.4438
0.0517 0.9483 0.8261
0.9483 0.0517 0.3261
```

2.
Cr2BiPd9: computed X-ray powder pattern (λ = 1.5418 Å (Cu Kα)), based on a crystal structure in Alexandria, relaxed with PBE.
Kinematic intensities with the Lorentz-polarization factor, no thermal factor.

Largest 8 diffraction maxima, in order of rising 2θ, 2θ from 10° to 90°:
| 2θ (°) | I (rel.) |
| --- | --- |
| 23.49 | 5 |
| 39.11 | 100 |
| 45.43 | 33 |
| 45.54 | 15 |
| 66.26 | 30 |
| 79.66 | 24 |
| 79.82 | 10 |
| 84.04 | 10 |

Structural model:
```
Cr2BiPd9
1.0
3.9925 0.0000 0.0000
0.0000 3.9925 0.0000
0.0000 0.0000 11.9510
Cr Bi Pd
2 1 9
direct
0.0000 0.0000 0.1559
0.0000 0.0000 0.8441
0.0000 0.0000 0.5000
0.0000 0.5000 0.0000
0.0000 0.5000 0.3203
0.0000 0.5000 0.6797
0.5000 0.0000 0.0000
0.5000 0.0000 0.3203
0.5000 0.0000 0.6797
0.5000 0.5000 0.1613
0.5000 0.5000 0.5000
0.5000 0.5000 0.8387
```

3.
Ti4P3: computed X-ray powder pattern (λ = 1.5418 Å (Cu Kα)), based on a crystal structure in Alexandria, relaxed with PBE.
Kinematic intensities with the Lorentz-polarization factor, no thermal factor.

Largest 8 diffraction maxima, in order of rising 2θ, 2θ from 10° to 90°:
| 2θ (°) | I (rel.) |
| --- | --- |
| 34.17 | 9 |
| 38.35 | 100 |
| 45.74 | 59 |
| 61.18 | 14 |
| 63.96 | 22 |
| 79.63 | 18 |
| 82.14 | 9 |
| 84.63 | 11 |

Structural model:
```
Ti4P3
1.0
-3.7108 3.7108 3.7108
3.7108 -3.7108 3.7108
3.7108 3.7108 -3.7108
Ti P
8 6
direct
0.0000 0.3624 0.5000
0.0000 0.8624 0.5000
0.1376 0.1376 0.1376
0.3624 0.5000 0.0000
0.5000 0.0000 0.3624
0.5000 0.0000 0.8624
0.6376 0.6376 0.6376
0.8624 0.5000 0.0000
0.1250 0.7500 0.8750
0.2500 0.6250 0.3750
0.3750 0.2500 0.6250
0.6250 0.3750 0.2500
0.7500 0.8750 0.1250
0.8750 0.1250 0.7500
```

4.
K2Zr3TlSe8: computed X-ray powder pattern (λ = 1.5418 Å (Cu Kα)), based on a crystal structure in Alexandria, relaxed with PBE.
Kinematic intensities with the Lorentz-polarization factor, no thermal factor.

Largest 8 diffraction maxima, in order of rising 2θ, 2θ from 10° to 90°:
| 2θ (°) | I (rel.) |
| --- | --- |
| 10.68 | 100 |
| 25.92 | 14 |
| 29.48 | 70 |
| 36.20 | 34 |
| 38.92 | 20 |
| 45.26 | 28 |
| 46.64 | 15 |
| 48.07 | 14 |

Structural model:
```
K2Zr3TlSe8
1.0
4.0075 2.3137 8.2798
-4.0075 2.3137 8.2798
0.0000 -4.6274 8.2798
K Zr Tl Se
2 3 1 8
direct
0.0000 0.0000 0.0000
0.3458 0.3458 0.3458
0.4941 0.9891 0.9891
0.9891 0.4941 0.9891
0.9891 0.9891 0.4941
0.5122 0.5122 0.5122
0.1837 0.7444 0.7444
0.2182 0.2182 0.2182
0.2619 0.2619 0.7765
0.2619 0.7765 0.2619
0.7444 0.1837 0.7444
0.7444 0.7444 0.1837
0.7617 0.7617 0.7617
0.7765 0.2619 0.2619
```

5.
Mn3Si2Se6: computed X-ray powder pattern (λ = 1.5418 Å (Cu Kα)), based on a crystal structure in Alexandria, relaxed with PBE.
Kinematic intensities with the Lorentz-polarization factor, no thermal factor.

Largest 8 diffraction maxima, in order of rising 2θ, 2θ from 10° to 90°:
| 2θ (°) | I (rel.) |
| --- | --- |
| 25.94 | 16 |
| 30.31 | 100 |
| 38.02 | 43 |
| 48.28 | 36 |
| 48.56 | 25 |
| 58.08 | 15 |
| 74.78 | 15 |
| 78.81 | 14 |

Structural model:
```
Mn3Si2Se6
1.0
6.5296 0.0000 0.0000
-3.2648 5.6548 0.0000
0.0000 0.0000 13.7401
Mn Si Se
6 4 12
direct
0.3333 0.6667 0.0041
0.3333 0.6667 0.4959
0.3333 0.6667 0.7500
0.6667 0.3333 0.2500
0.6667 0.3333 0.5041
0.6667 0.3333 0.9959
0.0000 0.0000 0.0840
0.0000 0.0000 0.4160
0.0000 0.0000 0.5840
0.0000 0.0000 0.9160
0.0059 0.3455 0.8747
0.0059 0.6605 0.6253
0.3395 0.3455 0.6253
0.3395 0.9941 0.8747
0.3455 0.0059 0.3747
0.3455 0.3395 0.1253
0.6545 0.6605 0.8747
0.6545 0.9941 0.6253
0.6605 0.0059 0.1253
0.6605 0.6545 0.3747
0.9941 0.3395 0.3747
0.9941 0.6545 0.1253
```

6.
Mn2Co5GeB2: computed X-ray powder pattern (λ = 1.5418 Å (Cu Kα)), based on a crystal structure in Alexandria, relaxed with PBE.
Kinematic intensities with the Lorentz-polarization factor, no thermal factor.

Largest 8 diffraction maxima, in order of rising 2θ, 2θ from 10° to 90°:
| 2θ (°) | I (rel.) |
| --- | --- |
| 39.54 | 51 |
| 43.80 | 96 |
| 46.43 | 100 |
| 47.75 | 38 |
| 50.20 | 28 |
| 74.74 | 17 |
| 79.55 | 17 |
| 88.05 | 20 |

Structural model:
```
Mn2Co5GeB2
1.0
8.5185 0.0000 0.0000
0.0000 8.5185 0.0000
0.0000 0.0000 2.8444
Mn Co Ge B
4 10 2 4
direct
0.1755 0.3245 0.0000
0.3245 0.8245 0.0000
0.6755 0.1755 0.0000
0.8245 0.6755 0.0000
0.0000 0.5000 0.5000
0.0696 0.7831 0.5000
0.2169 0.0696 0.5000
0.2831 0.5696 0.5000
0.4304 0.2831 0.5000
0.5000 0.0000 0.5000
0.5696 0.7169 0.5000
0.7169 0.4304 0.5000
0.7831 0.9304 0.5000
0.9304 0.2169 0.5000
0.0000 0.0000 0.0000
0.5000 0.5000 0.0000
0.1235 0.6235 0.0000
0.3765 0.1235 0.0000
0.6235 0.8765 0.0000
0.8765 0.3765 0.0000
```